Calculated X-ray powder pattern
Compound: SmUS3
Radiation: a wavelength of 1.5418 Å
Structure: a crystal structure in Alexandria, relaxed with GGA-PBE
No peak broadening, texture or thermal motion is included.

Main lines, sorted by position (10 to 90 degrees two-theta):
| two_theta | I/Imax |
| --- | --- |
| 26.2 | 50 |
| 26.4 | 100 |
| 26.7 | 36 |
| 28.7 | 41 |
| 35.3 | 38 |
| 37.3 | 28 |
| 39.3 | 31 |
| 46.9 | 29 |

Crystal structure
Cell lengths 7.4291, 3.9152, 15.3104 Å; angles 90.00, 90.00, 90.00 degrees
Space group Pnma (No. 62)
One atom of each set of equivalent atoms:
Sm (0.1100, 0.2500, 0.2078) (multiplicity 4)
U (0.2378, 0.7500, 0.4617) (multiplicity 4)
S (0.0102, 0.2500, 0.3986) (multiplicity 4)
S (0.1231, 0.7500, 0.0694) (multiplicity 4)
S (0.1686, 0.2500, 0.7821) (multiplicity 4)

=====

Calculated X-ray powder pattern
Compound: Sr2ZrTcO6
Radiation: a wavelength of 1.5418 Å
Structure: a crystal structure in Alexandria, relaxed with GGA-PBE
No peak broadening, texture or thermal motion is included.

Main lines, sorted by position (10 to 90 degrees two-theta):
| two_theta | I/Imax |
| --- | --- |
| 30.8 | 100 |
| 44.0 | 23 |
| 44.2 | 11 |
| 54.7 | 26 |
| 54.8 | 13 |
| 64.0 | 7 |
| 64.2 | 13 |
| 72.7 | 11 |

Crystal structure
Cell lengths 4.1131, 4.1131, 8.1893 Å; angles 90.00, 90.00, 90.00 degrees
Space group P4/mmm (No. 123)
One atom of each set of equivalent atoms:
Sr (0.0000, 0.0000, 0.2384) (multiplicity 2)
Zr (0.5000, 0.5000, 0.5000) (multiplicity 1)
Tc (0.5000, 0.5000, 0.0000) (multiplicity 1)
O (0.0000, 0.5000, 0.0000) (multiplicity 2)
O (0.0000, 0.5000, 0.5000) (multiplicity 2)
O (0.5000, 0.5000, 0.2425) (multiplicity 2)

=====

Calculated X-ray powder pattern
Compound: Li2H3Pd2
Radiation: a wavelength of 1.5418 Å
Structure: a crystal structure in Alexandria, relaxed with GGA-PBE
No peak broadening, texture or thermal motion is included.

Main lines, sorted by position (10 to 90 degrees two-theta):
| two_theta | I/Imax |
| --- | --- |
| 21.7 | 100 |
| 31.6 | 48 |
| 33.7 | 35 |
| 38.2 | 30 |
| 40.4 | 41 |
| 41.3 | 44 |
| 41.9 | 16 |
| 50.5 | 23 |

Crystal structure
Cell lengths 10.3226, 2.9678, 4.6524 Å; angles 90.00, 114.22, 90.00 degrees
Space group C2/m (No. 12)
One atom of each set of equivalent atoms:
Li (0.1190, 0.0000, 0.2926) (multiplicity 4)
H (0.0000, 0.5000, 0.0000) (multiplicity 2)
H (0.2186, 0.0000, 0.7715) (multiplicity 4)
Pd (0.1203, 0.5000, 0.8002) (multiplicity 4)

=====

Calculated X-ray powder pattern
Compound: Er3Tm3PdRu2
Radiation: a wavelength of 1.5418 Å
Structure: a crystal structure in Alexandria, relaxed with GGA-PBE
No peak broadening, texture or thermal motion is included.

Main lines, sorted by position (10 to 90 degrees two-theta):
| two_theta | I/Imax |
| --- | --- |
| 31.3 | 100 |
| 34.4 | 79 |
| 37.9 | 37 |
| 38.7 | 34 |
| 43.2 | 25 |
| 55.3 | 25 |
| 59.4 | 20 |
| 68.1 | 25 |

Crystal structure
Cell lengths 7.2529, 7.2529, 4.6580 Å; angles 90.00, 90.00, 120.00 degrees
Space group P-62m (No. 189)
One atom of each set of equivalent atoms:
Er (0.0000, 0.2667, 0.0000) (multiplicity 3)
Tm (0.0000, 0.5855, 0.5000) (multiplicity 3)
Pd (0.0000, 0.0000, 0.5000) (multiplicity 1)
Ru (0.3333, 0.6667, 0.0000) (multiplicity 2)

=====

Calculated X-ray powder pattern
Compound: SmDy5Th4
Radiation: a wavelength of 1.5418 Å
Structure: a crystal structure in Alexandria, relaxed with GGA-PBE
No peak broadening, texture or thermal motion is included.

Main lines, sorted by position (10 to 90 degrees two-theta):
| two_theta | I/Imax |
| --- | --- |
| 30.2 | 29 |
| 30.6 | 20 |
| 30.8 | 59 |
| 31.8 | 55 |
| 32.0 | 100 |
| 33.2 | 28 |
| 37.5 | 17 |
| 62.1 | 17 |

Crystal structure
Cell lengths 17.0713, 3.4864, 11.6145 Å; angles 90.00, 110.21, 90.00 degrees
Space group C2/m (No. 12)
One atom of each set of equivalent atoms:
Sm (0.0000, 0.0000, 0.0000) (multiplicity 2)
Dy (0.0000, 0.0000, 0.5000) (multiplicity 2)
Dy (0.1928, 0.5000, 0.5837) (multiplicity 4)
Dy (0.2113, 0.5000, 0.1150) (multiplicity 4)
Th (0.0902, 0.5000, 0.7916) (multiplicity 4)
Th (0.0984, 0.0000, 0.2948) (multiplicity 4)

=====

Calculated X-ray powder pattern
Compound: Nd2Cd16Ga
Radiation: a wavelength of 1.5418 Å
Structure: a crystal structure in Alexandria, relaxed with GGA-PBE
No peak broadening, texture or thermal motion is included.

Main lines, sorted by position (10 to 90 degrees two-theta):
| two_theta | I/Imax |
| --- | --- |
| 30.6 | 30 |
| 35.4 | 26 |
| 35.7 | 100 |
| 36.4 | 30 |
| 36.6 | 13 |
| 40.0 | 28 |
| 63.6 | 10 |
| 65.0 | 16 |

Crystal structure
Cell lengths 10.1315, 10.1315, 14.8198 Å; angles 90.00, 90.00, 120.00 degrees
Space group R3m (No. 160, hexagonal axes)
One atom of each set of equivalent atoms:
Nd (0.0000, 0.0000, 0.0000) (multiplicity 3)
Nd (0.0000, 0.0000, 0.3460) (multiplicity 3)
Cd (0.0000, 0.0000, 0.7451) (multiplicity 3)
Cd (0.0260, 0.3583, 0.3350) (multiplicity 18)
Cd (0.1786, 0.3572, 0.1528) (multiplicity 9)
Cd (0.1872, 0.3744, 0.5067) (multiplicity 9)
Cd (0.1953, 0.3907, 0.8459) (multiplicity 9)
Ga (0.0000, 0.0000, 0.5588) (multiplicity 3)

=====

Calculated X-ray powder pattern
Compound: MgBe2Re
Radiation: a wavelength of 1.5418 Å
Structure: a crystal structure in Alexandria, relaxed with GGA-PBE
No peak broadening, texture or thermal motion is included.

Main lines, sorted by position (10 to 90 degrees two-theta):
| two_theta | I/Imax |
| --- | --- |
| 21.6 | 37 |
| 28.1 | 100 |
| 36.9 | 19 |
| 42.1 | 34 |
| 43.2 | 49 |
| 53.2 | 13 |
| 61.2 | 23 |
| 70.1 | 15 |

Crystal structure
Cell lengths 3.4430, 3.4430, 8.2305 Å; angles 90.00, 90.00, 90.00 degrees
Space group I-4m2 (No. 119)
One atom of each set of equivalent atoms:
Mg (0.0000, 0.0000, 0.0000) (multiplicity 2)
Be (0.0000, 0.0000, 0.5000) (multiplicity 2)
Be (0.0000, 0.5000, 0.2500) (multiplicity 2)
Re (0.0000, 0.5000, 0.7500) (multiplicity 2)

=====

Calculated X-ray powder pattern
Compound: Pr3Sm2In
Radiation: a wavelength of 1.5418 Å
Structure: a crystal structure in Alexandria, relaxed with GGA-PBE
No peak broadening, texture or thermal motion is included.

Main lines, sorted by position (10 to 90 degrees two-theta):
| two_theta | I/Imax |
| --- | --- |
| 30.5 | 100 |
| 34.5 | 18 |
| 35.7 | 16 |
| 35.9 | 16 |
| 50.5 | 12 |
| 59.4 | 15 |
| 61.0 | 14 |
| 61.3 | 14 |

Crystal structure
Cell lengths 5.0257, 15.5994, 4.9988 Å; angles 90.00, 90.00, 90.00 degrees
Space group Cmmm (No. 65)
One atom of each set of equivalent atoms:
Pr (0.0000, 0.0000, 0.0000) (multiplicity 2)
Pr (0.0000, 0.3350, 0.0000) (multiplicity 4)
Sm (0.0000, 0.1620, 0.5000) (multiplicity 4)
In (0.0000, 0.5000, 0.5000) (multiplicity 2)

=====

Calculated X-ray powder pattern
Compound: Sr3CaCu4O8
Radiation: a wavelength of 1.5418 Å
Structure: a crystal structure in Alexandria, relaxed with GGA-PBE
No peak broadening, texture or thermal motion is included.

Main lines, sorted by position (10 to 90 degrees two-theta):
| two_theta | I/Imax |
| --- | --- |
| 32.2 | 36 |
| 34.8 | 100 |
| 46.1 | 16 |
| 46.2 | 16 |
| 59.1 | 20 |
| 59.1 | 20 |
| 64.0 | 11 |
| 73.5 | 14 |

Crystal structure
Cell lengths 3.4141, 3.9370, 15.7133 Å; angles 90.00, 90.00, 90.00 degrees
Space group Pmmm (No. 47)
One atom of each set of equivalent atoms:
Sr (0.0000, 0.0000, 0.0000) (multiplicity 1)
Sr (0.0000, 0.0000, 0.2526) (multiplicity 2)
Ca (0.0000, 0.0000, 0.5000) (multiplicity 1)
Cu (0.5000, 0.5000, 0.1262) (multiplicity 2)
Cu (0.5000, 0.5000, 0.3776) (multiplicity 2)
O (0.5000, 0.0000, 0.1268) (multiplicity 2)
O (0.5000, 0.0000, 0.3824) (multiplicity 2)
O (0.5000, 0.5000, 0.0000) (multiplicity 1)
O (0.5000, 0.5000, 0.2528) (multiplicity 2)
O (0.5000, 0.5000, 0.5000) (multiplicity 1)

=====

Calculated X-ray powder pattern
Compound: Pm5Tl2Sn2
Radiation: a wavelength of 1.5418 Å
Structure: a crystal structure in Alexandria, relaxed with GGA-PBE
No peak broadening, texture or thermal motion is included.

Main lines, sorted by position (10 to 90 degrees two-theta):
| two_theta | I/Imax |
| --- | --- |
| 29.2 | 67 |
| 30.5 | 59 |
| 30.8 | 100 |
| 31.5 | 39 |
| 32.7 | 55 |
| 34.6 | 85 |
| 44.4 | 42 |
| 62.5 | 28 |

Crystal structure
Cell lengths 16.2427, 8.2933, 8.2918 Å; angles 90.00, 90.00, 90.00 degrees
Space group Cmce (No. 64)
One atom of each set of equivalent atoms:
Pm (0.0000, 0.0000, 0.0000) (multiplicity 4)
Pm (0.1353, 0.1799, 0.3273) (multiplicity 16)
Tl (0.2117, 0.0000, 0.0000) (multiplicity 8)
Sn (0.0000, 0.1266, 0.6299) (multiplicity 8)

=====

Calculated X-ray powder pattern
Compound: NaOs2RhO8
Radiation: a wavelength of 1.5418 Å
Structure: a crystal structure in Alexandria, relaxed with GGA-PBE
No peak broadening, texture or thermal motion is included.

Main lines, sorted by position (10 to 90 degrees two-theta):
| two_theta | I/Imax |
| --- | --- |
| 22.7 | 100 |
| 30.7 | 34 |
| 34.0 | 35 |
| 40.9 | 19 |
| 41.3 | 18 |
| 46.5 | 12 |
| 54.6 | 18 |
| 60.2 | 17 |

Crystal structure
Cell lengths 5.2702, 5.2702, 7.5713 Å; angles 90.00, 90.00, 120.00 degrees
Space group P-3 (No. 147)
One atom of each set of equivalent atoms:
Na (0.0000, 0.0000, 0.0000) (multiplicity 1)
Os (0.3333, 0.6667, 0.7488) (multiplicity 2)
Rh (0.0000, 0.0000, 0.5000) (multiplicity 1)
O (0.0314, 0.3305, 0.6625) (multiplicity 6)
O (0.3333, 0.6667, 0.9814) (multiplicity 2)

=====

Calculated X-ray powder pattern
Compound: Li5SmHg6
Radiation: a wavelength of 1.5418 Å
Structure: a crystal structure in Alexandria, relaxed with GGA-PBE
No peak broadening, texture or thermal motion is included.

Main lines, sorted by position (10 to 90 degrees two-theta):
| two_theta | I/Imax |
| --- | --- |
| 25.6 | 34 |
| 26.0 | 71 |
| 36.8 | 100 |
| 36.9 | 27 |
| 37.2 | 25 |
| 45.4 | 15 |
| 45.7 | 14 |
| 59.5 | 10 |

Crystal structure
Cell lengths 4.8705, 6.9708, 7.6387 Å; angles 90.00, 108.38, 90.00 degrees
Space group P2/m (No. 10)
One atom of each set of equivalent atoms:
Li (0.0000, 0.0000, 0.0000) (multiplicity 1)
Li (0.3297, 0.5000, 0.6539) (multiplicity 2)
Li (0.3415, 0.0000, 0.6801) (multiplicity 2)
Sm (0.0000, 0.5000, 0.0000) (multiplicity 1)
Hg (0.1724, 0.2307, 0.3473) (multiplicity 4)
Hg (0.5000, 0.2245, 0.0000) (multiplicity 2)